(1)
The following is a simulated XRD peak list of VHO2. It was derived from DFT lattice parameters and positions (PBE+U), using copper Kα.
Lines closer than 0.1° are merged.

Peak list (10 most intense, 2θ = 10–80°, in order of rising 2θ)
| 2θ (°) | I_rel | h k l |
| --- | --- | --- |
| 21.00 | 100 | 1 0 1 |
| 32.98 | 36 | 3 0 1 |
| 33.72 | 19 | 2 1 0 |
| 35.64 | 81 | 1 1 1 |
| 35.84 | 18 | 4 0 0 |
| 40.89 | 24 | 4 0 1 |
| 49.54 | 21 | 1 1 2 |
| 52.17 | 36 | 2 1 2 |
| 58.09 | 27 | 5 1 1 |
| 58.90 | 15 | 0 2 0 |

```
VHO2
1.0
10.021 0.000 0.000
0.000 3.136 0.000
0.000 0.000 4.666
V H O
4 4 8
Direct
0.144 0.250 0.059
0.356 0.750 0.559
0.644 0.250 0.441
0.856 0.750 0.941
0.091 0.750 0.608
0.409 0.250 0.108
0.591 0.750 0.892
0.909 0.250 0.392
0.058 0.750 0.810
0.198 0.750 0.310
0.302 0.250 0.810
0.442 0.250 0.310
0.558 0.750 0.690
0.698 0.750 0.190
0.802 0.250 0.690
0.942 0.250 0.190
```


(2)
The following is a simulated XRD peak list of MgCr2Co2O8. It was derived from DFT lattice parameters and positions (PBE+U), using copper Kα.
Lines closer than 0.1° are merged.

Peak list (10 most intense, 2θ = 10–80°, in order of rising 2θ)
| 2θ (°) | I_rel | h k l |
| --- | --- | --- |
| 18.68 | 15 | 1 0 0 |
| 23.38 | 39 | 1 0 -1 |
| 25.01 | 27 | 1 -1 1 |
| 31.40 | 48 | 1 1 0 |
| 33.94 | 100 | 0 1 2 |
| 35.06 | 61 | 2 -1 0 |
| 47.82 | 28 | 2 0 -2 |
| 51.32 | 21 | 2 -2 2 |
| 57.54 | 19 | 1 2 2 |
| 61.42 | 37 | 1 -3 2 |

```
MgCr2Co2O8
1.0
5.154 0.000 0.000
-2.008 4.751 0.000
0.000 -0.001 6.357
Mg Cr Co O
1 2 2 8
Direct
0.000 0.000 0.000
0.023 0.975 0.500
0.322 0.679 0.999
0.664 0.337 0.255
0.664 0.337 0.745
0.385 0.123 0.500
0.418 0.062 0.000
0.426 0.574 0.218
0.426 0.575 0.780
0.874 0.612 0.500
0.899 0.099 0.278
0.899 0.099 0.722
0.938 0.583 0.999
```


(3)
The following is a simulated XRD peak list of Zn9Fe15O32. It was derived from DFT lattice parameters and positions (PBE+U), using copper Kα.
Lines closer than 0.1° are merged.

Peak list (10 most intense, 2θ = 10–80°, in order of rising 2θ)
| 2θ (°) | I_rel | h k l |
| --- | --- | --- |
| 29.57 | 44 | 0 1 5 |
| 34.77 | 73 | 0 2 -2 |
| 34.88 | 100 | 0 1 -7 |
| 35.03 | 38 | -1 1 7 |
| 35.14 | 22 | -2 1 5 |
| 42.28 | 34 | 2 0 4 |
| 55.82 | 27 | 2 1 5 |
| 55.95 | 24 | 3 -1 5 |
| 61.33 | 53 | 2 -4 0 |
| 61.79 | 34 | -4 2 2 |

```
Zn9Fe15O32
1.0
6.010 0.000 0.000
-3.004 5.246 0.000
-2.824 -1.759 19.676
Zn Fe O
9 15 32
Direct
0.000 0.000 0.000
0.001 0.253 0.748
0.002 0.752 0.250
0.254 0.378 0.625
0.502 0.254 0.748
0.502 0.500 0.500
0.503 0.001 0.000
0.750 0.626 0.374
0.945 0.224 0.155
0.000 0.498 0.000
0.001 0.501 0.499
0.002 0.001 0.499
0.054 0.277 0.341
0.061 0.775 0.844
0.252 0.876 0.125
0.441 0.475 0.903
0.449 0.975 0.408
0.499 0.751 0.249
0.500 0.249 0.250
0.502 0.751 0.747
0.555 0.026 0.592
0.559 0.525 0.094
0.750 0.124 0.874
0.947 0.730 0.656
0.110 0.315 0.936
0.116 0.306 0.440
0.119 0.810 0.441
0.123 0.803 0.941
0.137 0.084 0.688
0.145 0.575 0.690
0.150 0.057 0.188
0.153 0.596 0.189
0.357 0.667 0.558
0.358 0.684 0.062
0.359 0.183 0.559
0.368 0.168 0.063
0.379 0.439 0.307
0.381 0.451 0.807
0.386 0.947 0.310
0.393 0.937 0.812
0.602 0.049 0.190
0.617 0.555 0.192
0.622 0.054 0.689
0.624 0.575 0.689
0.635 0.832 0.936
0.644 0.316 0.936
0.644 0.817 0.440
0.645 0.333 0.440
0.857 0.433 0.309
0.857 0.919 0.309
0.859 0.937 0.812
0.865 0.415 0.812
0.875 0.195 0.054
0.883 0.192 0.557
0.886 0.695 0.557
0.891 0.683 0.063
```